No. 1
Structure and computed powder diffraction line list of CsNaPbS2 (DFT lattice parameters and positions (GGA-PBE); CuKα).
Intensities are scaled so that the largest is 100.

Largest 10 diffraction maxima, sorted by position, 2θ = 10–80°:
18.21°, rel. 51
21.20°, rel. 100
22.71°, rel. 44
24.14°, rel. 54
25.56°, rel. 73
27.83°, rel. 35
28.68°, rel. 40
32.69°, rel. 49
33.32°, rel. 49
37.55°, rel. 50

Cell and atoms:
Unit cell a=8.0290 b=8.0290 c=9.8019 alpha=95.98 beta=95.98 gamma=34.72
Fractional positions:
Cs 0.1695 0.1695 0.1658
Cs 0.8305 0.8305 0.8342
Na 0.1891 0.1891 0.5577
Na 0.8109 0.8109 0.4423
Pb 0.4437 0.4437 0.2996
Pb 0.5563 0.5563 0.7004
S 0.1416 0.1416 0.8142
S 0.3712 0.3712 0.5425
S 0.6288 0.6288 0.4575
S 0.8584 0.8584 0.1858

***

No. 2
Structure and computed powder diffraction line list of Cs2Na2Pd (DFT lattice parameters and positions (GGA-PBE); CuKα).
Intensities are scaled so that the largest is 100.

Largest 10 diffraction maxima, sorted by position, 2θ = 10–80°:
20.72°, rel. 29
25.90°, rel. 100
27.85°, rel. 42
28.15°, rel. 65
31.02°, rel. 28
34.79°, rel. 22
42.17°, rel. 24
45.13°, rel. 21
48.13°, rel. 47
49.48°, rel. 24

Cell and atoms:
Unit cell a=8.1552 b=8.1552 c=6.4074 alpha=90.00 beta=90.00 gamma=90.00
Fractional positions:
Cs 0.1979 0.3021 0.0000
Cs 0.3021 0.8021 0.0000
Cs 0.6979 0.1979 0.0000
Cs 0.8021 0.6979 0.0000
Na 0.1567 0.6567 0.5000
Na 0.3433 0.1567 0.5000
Na 0.6567 0.8433 0.5000
Na 0.8433 0.3433 0.5000
Pd 0.0000 0.0000 0.5000
Pd 0.5000 0.5000 0.5000

***

No. 3
Structure and computed powder diffraction line list of CsNa4Pt (DFT lattice parameters and positions (GGA-PBE); CuKα).
Intensities are scaled so that the largest is 100.

Largest 10 diffraction maxima, sorted by position, 2θ = 10–80°:
11.27°, rel. 100
15.69°, rel. 48
15.83°, rel. 96
21.23°, rel. 30
26.51°, rel. 28
29.67°, rel. 34
34.60°, rel. 19
39.86°, rel. 27
40.00°, rel. 37
40.09°, rel. 18

Cell and atoms:
Unit cell a=12.3458 b=12.3458 c=5.4938 alpha=102.68 beta=102.68 gamma=39.64
Fractional positions:
Cs 0.2133 0.2133 0.2127
Cs 0.7867 0.7867 0.7873
Na 0.1915 0.6460 0.4201
Na 0.1954 0.8046 0.0000
Na 0.3540 0.8085 0.5799
Na 0.3844 0.3844 0.8859
Na 0.6156 0.6156 0.1141
Na 0.6460 0.1915 0.4201
Na 0.8046 0.1954 0.0000
Na 0.8085 0.3540 0.5799
Pt 0.5000 0.5000 0.2521
Pt 0.5000 0.5000 0.7479

***

No. 4
Structure and computed powder diffraction line list of Cs7RbNa6 (DFT lattice parameters and positions (GGA-PBE); CuKα).
Intensities are scaled so that the largest is 100.

Largest 10 diffraction maxima, sorted by position, 2θ = 10–80°:
17.44°, rel. 100
19.69°, rel. 25
21.28°, rel. 57
22.19°, rel. 64
23.82°, rel. 30
25.70°, rel. 55
35.17°, rel. 20
35.66°, rel. 26
36.07°, rel. 20
36.91°, rel. 24

Cell and atoms:
Unit cell a=11.1006 b=11.1006 c=11.1006 alpha=71.31 beta=71.31 gamma=71.31
Fractional positions:
Cs 0.0000 0.0000 0.0000
Cs 0.1675 0.6695 0.4362
Cs 0.2080 0.4850 0.9781
Cs 0.4362 0.1675 0.6695
Cs 0.4850 0.9781 0.2080
Cs 0.6695 0.4362 0.1675
Cs 0.9781 0.2080 0.4850
Rb 0.6415 0.6415 0.6415
Na 0.2749 0.8688 0.6579
Na 0.3934 0.7747 0.9756
Na 0.6579 0.2749 0.8688
Na 0.7747 0.9756 0.3934
Na 0.8688 0.6579 0.2749
Na 0.9756 0.3934 0.7747

***

No. 5
Structure and computed powder diffraction line list of Cs21Rb2Na6 (DFT lattice parameters and positions (GGA-PBE); CuKα).
Intensities are scaled so that the largest is 100.

Largest 10 diffraction maxima, sorted by position, 2θ = 10–80°:
17.67°, rel. 14
19.37°, rel. 20
20.55°, rel. 100
22.40°, rel. 22
23.44°, rel. 31
23.78°, rel. 18
33.88°, rel. 30
34.60°, rel. 20
39.32°, rel. 24
53.36°, rel. 23

Cell and atoms:
Unit cell a=15.8770 b=15.8770 c=15.8770 alpha=60.00 beta=60.00 gamma=60.00
Fractional positions:
Cs 0.0000 0.0000 0.0000
Cs 0.0000 0.0000 0.3412
Cs 0.0000 0.0000 0.6587
Cs 0.0000 0.3412 0.0000
Cs 0.0000 0.3412 0.6587
Cs 0.0000 0.6587 0.0000
Cs 0.0000 0.6587 0.3412
Cs 0.1473 0.6176 0.6176
Cs 0.3412 0.0000 0.0000
Cs 0.3412 0.0000 0.6587
Cs 0.3412 0.6587 0.0000
Cs 0.3824 0.3824 0.3824
Cs 0.3824 0.3824 0.8527
Cs 0.3824 0.8527 0.3824
Cs 0.6176 0.1473 0.6176
Cs 0.6176 0.6176 0.1473
Cs 0.6176 0.6176 0.6176
Cs 0.6587 0.0000 0.0000
Cs 0.6587 0.0000 0.3412
Cs 0.6587 0.3412 0.0000
Cs 0.8527 0.3824 0.3824
Rb 0.2500 0.2500 0.2500
Rb 0.7500 0.7500 0.7500
Na 0.2692 0.2692 0.7308
Na 0.2692 0.7308 0.2692
Na 0.2692 0.7308 0.7308
Na 0.7308 0.2692 0.2692
Na 0.7308 0.2692 0.7308
Na 0.7308 0.7308 0.2692

***

No. 6
Structure and computed powder diffraction line list of Cs9RbNa3 (DFT lattice parameters and positions (GGA-PBE); CuKα).
Intensities are scaled so that the largest is 100.

Largest 10 diffraction maxima, sorted by position, 2θ = 10–80°:
16.08°, rel. 47
19.02°, rel. 70
19.31°, rel. 54
21.37°, rel. 100
22.04°, rel. 89
22.26°, rel. 71
24.31°, rel. 54
24.49°, rel. 57
25.53°, rel. 42
39.16°, rel. 36

Cell and atoms:
Unit cell a=12.7111 b=12.7111 c=11.8029 alpha=97.51 beta=97.51 gamma=136.90
Fractional positions:
Cs 0.0000 0.0000 0.0000
Cs 0.0316 0.6820 0.1886
Cs 0.3133 0.5351 0.2901
Cs 0.3180 0.9684 0.8114
Cs 0.4649 0.6867 0.7099
Cs 0.5351 0.3133 0.2901
Cs 0.6820 0.0316 0.1886
Cs 0.6867 0.4649 0.7099
Cs 0.9684 0.3180 0.8114
Rb 0.0000 0.0000 0.5000
Na 0.0000 0.5000 0.5000
Na 0.5000 0.0000 0.5000
Na 0.5000 0.5000 0.0000

***

No. 7
Structure and computed powder diffraction line list of Cs9Rb3Na2 (DFT lattice parameters and positions (GGA-PBE); CuKα).
Intensities are scaled so that the largest is 100.

Largest 10 diffraction maxima, sorted by position, 2θ = 10–80°:
16.79°, rel. 22
18.40°, rel. 32
19.29°, rel. 100
21.49°, rel. 62
22.15°, rel. 40
22.63°, rel. 82
23.33°, rel. 36
25.68°, rel. 49
31.57°, rel. 26
36.62°, rel. 44

Cell and atoms:
Unit cell a=16.0933 b=16.0933 c=16.0933 alpha=159.72 beta=97.95 gamma=85.62
Fractional positions:
Cs 0.0000 0.0000 0.0000
Cs 0.0436 0.1895 0.8540
Cs 0.2478 0.8750 0.3728
Cs 0.3355 0.1895 0.1460
Cs 0.4978 0.1250 0.3728
Cs 0.5022 0.8750 0.6272
Cs 0.6645 0.8105 0.8540
Cs 0.7522 0.1250 0.6272
Cs 0.9564 0.8105 0.1460
Rb 0.2047 0.5000 0.7047
Rb 0.5000 0.5000 0.0000
Rb 0.7953 0.5000 0.2953
Na 0.1426 0.6426 0.5000
Na 0.8574 0.3574 0.5000

***

No. 8
Structure and computed powder diffraction line list of Cs20Rb3Na6 (DFT lattice parameters and positions (GGA-PBE); CuKα).
Intensities are scaled so that the largest is 100.

Largest 10 diffraction maxima, sorted by position, 2θ = 10–80°:
17.71°, rel. 18
19.42°, rel. 19
20.61°, rel. 100
22.46°, rel. 21
23.50°, rel. 37
23.84°, rel. 18
33.97°, rel. 29
34.69°, rel. 19
39.42°, rel. 25
53.51°, rel. 24

Cell and atoms:
Unit cell a=15.8355 b=15.8355 c=15.8355 alpha=60.00 beta=60.00 gamma=60.00
Fractional positions:
Cs 0.0000 0.0000 0.3391
Cs 0.0000 0.0000 0.6609
Cs 0.0000 0.3391 0.0000
Cs 0.0000 0.3391 0.6609
Cs 0.0000 0.6609 0.0000
Cs 0.0000 0.6609 0.3391
Cs 0.1455 0.6182 0.6182
Cs 0.3391 0.0000 0.0000
Cs 0.3391 0.0000 0.6609
Cs 0.3391 0.6609 0.0000
Cs 0.3818 0.3818 0.3818
Cs 0.3818 0.3818 0.8545
Cs 0.3818 0.8545 0.3818
Cs 0.6182 0.1455 0.6182
Cs 0.6182 0.6182 0.1455
Cs 0.6182 0.6182 0.6182
Cs 0.6609 0.0000 0.0000
Cs 0.6609 0.0000 0.3391
Cs 0.6609 0.3391 0.0000
Cs 0.8545 0.3818 0.3818
Rb 0.0000 0.0000 0.0000
Rb 0.2500 0.2500 0.2500
Rb 0.7500 0.7500 0.7500
Na 0.2694 0.2694 0.7306
Na 0.2694 0.7306 0.2694
Na 0.2694 0.7306 0.7306
Na 0.7306 0.2694 0.2694
Na 0.7306 0.2694 0.7306
Na 0.7306 0.7306 0.2694

***

No. 9
Structure and computed powder diffraction line list of CsRb8Na4 (DFT lattice parameters and positions (GGA-PBE); CuKα).
Intensities are scaled so that the largest is 100.

Largest 10 diffraction maxima, sorted by position, 2θ = 10–80°:
20.52°, rel. 48
21.29°, rel. 35
23.44°, rel. 35
23.66°, rel. 100
24.34°, rel. 23
27.06°, rel. 28
38.79°, rel. 27
41.33°, rel. 36
41.74°, rel. 22
52.09°, rel. 18

Cell and atoms:
Unit cell a=11.5188 b=11.5188 c=11.5188 alpha=97.54 beta=97.54 gamma=137.51
Fractional positions:
Cs 0.0000 0.0000 0.0000
Rb 0.0000 0.3405 0.3405
Rb 0.0000 0.6595 0.6595
Rb 0.2843 0.5000 0.7843
Rb 0.3405 0.0000 0.3405
Rb 0.5000 0.2843 0.7843
Rb 0.5000 0.7157 0.2157
Rb 0.6595 0.0000 0.6595
Rb 0.7157 0.5000 0.2157
Na 0.0000 0.0000 0.5000
Na 0.0000 0.5000 0.0000
Na 0.5000 0.0000 0.0000
Na 0.5000 0.5000 0.5000

***

No. 10
Structure and computed powder diffraction line list of Cs5Rb2Na (DFT lattice parameters and positions (GGA-PBE); CuKα).
Intensities are scaled so that the largest is 100.

Largest 10 diffraction maxima, sorted by position, 2θ = 10–80°:
18.31°, rel. 22
20.30°, rel. 22
20.84°, rel. 75
21.77°, rel. 100
22.43°, rel. 76
33.26°, rel. 49
37.89°, rel. 20
39.53°, rel. 28
41.02°, rel. 22
53.75°, rel. 33

Cell and atoms:
Unit cell a=12.4661 b=23.3598 c=5.3960 alpha=90.00 beta=90.00 gamma=90.00
Fractional positions:
Cs 0.0000 0.0000 0.0000
Cs 0.0004 0.2301 0.0000
Cs 0.9996 0.7699 0.0000
Cs 0.2017 0.3906 0.5000
Cs 0.2983 0.8906 0.5000
Cs 0.5004 0.2699 0.0000
Cs 0.5000 0.5000 0.0000
Cs 0.4996 0.7301 0.0000
Cs 0.7017 0.1094 0.5000
Cs 0.7983 0.6094 0.5000
Rb 0.2038 0.6101 0.5000
Rb 0.2962 0.1101 0.5000
Rb 0.7038 0.8899 0.5000
Rb 0.7962 0.3899 0.5000
Na 0.0000 0.5000 0.0000
Na 0.5000 0.0000 0.0000

***

No. 11
Structure and computed powder diffraction line list of Cs6RbNa5 (DFT lattice parameters and positions (GGA-PBE); CuKα).
Intensities are scaled so that the largest is 100.

Largest 10 diffraction maxima, sorted by position, 2θ = 10–80°:
16.56°, rel. 19
16.77°, rel. 38
23.65°, rel. 100
23.80°, rel. 50
29.13°, rel. 19
33.85°, rel. 10
33.97°, rel. 10
38.03°, rel. 11
41.49°, rel. 20
41.74°, rel. 31

Cell and atoms:
Unit cell a=7.4838 b=10.7053 c=12.9570 alpha=114.36 beta=106.61 gamma=90.01
Fractional positions:
Cs 0.9996 0.2257 0.4994
Cs 0.0004 0.7743 0.5006
Cs 0.3244 0.0635 0.1507
Cs 0.3247 0.5874 0.1511
Cs 0.6753 0.4126 0.8489
Cs 0.6756 0.9365 0.8493
Rb 0.5000 0.5000 0.5000
Na 0.1549 0.6510 0.8055
Na 0.1701 0.1691 0.8366
Na 0.5000 0.0000 0.5000
Na 0.8299 0.8309 0.1634
Na 0.8451 0.3490 0.1945

***

No. 12
Structure and computed powder diffraction line list of Cs2Rb9Na4 (DFT lattice parameters and positions (GGA-PBE); CuKα).
Intensities are scaled so that the largest is 100.

Largest 10 diffraction maxima, sorted by position, 2θ = 10–80°:
14.08°, rel. 17
20.35°, rel. 45
23.34°, rel. 76
23.60°, rel. 100
31.36°, rel. 15
33.44°, rel. 34
39.62°, rel. 16
41.34°, rel. 35
41.49°, rel. 22
48.27°, rel. 17

Cell and atoms:
Unit cell a=7.5391 b=7.5391 c=23.4651 alpha=90.00 beta=90.00 gamma=120.00
Fractional positions:
Cs 0.3333 0.6667 0.2980
Cs 0.6667 0.3333 0.7020
Rb 0.0000 0.0000 0.0000
Rb 0.0000 0.0000 0.1931
Rb 0.0000 0.0000 0.3939
Rb 0.0000 0.0000 0.6061
Rb 0.0000 0.0000 0.8069
Rb 0.3333 0.6667 0.0763
Rb 0.3333 0.6667 0.5370
Rb 0.6667 0.3333 0.4630
Rb 0.6667 0.3333 0.9237
Na 0.3333 0.6667 0.7245
Na 0.3333 0.6667 0.8805
Na 0.6667 0.3333 0.1195
Na 0.6667 0.3333 0.2755